(1)
Diffraction record for TbPu2ThP4. The powder diffractogram is theoretical, not measured: it uses a DFT-relaxed cell (PBE, Alexandria) and Cu Kα (weighted mean of Kα1 and Kα2).
Lines closer than 0.1° are merged.

```
TbPu2ThP4
1.0
6.968 0.000 0.000
0.000 4.065 0.000
-2.365 0.000 6.617
Tb Pu Th P
1 2 1 4
Direct
0.000 0.000 0.000
0.500 0.000 0.500
0.500 0.500 0.000
0.000 0.500 0.500
0.258 0.500 0.250
0.259 0.000 0.756
0.741 0.000 0.244
0.742 0.500 0.750
```

Main lines, by angle (10° ≤ 2θ ≤ 80°):
| two_theta | I_rel |
| --- | --- |
| 26.92 | 80 |
| 27.18 | 26 |
| 31.26 | 100 |
| 44.62 | 38 |
| 44.96 | 37 |
| 52.98 | 13 |
| 53.06 | 18 |
| 53.33 | 13 |
| 55.49 | 20 |
| 74.34 | 17 |

---

(2)
Diffraction record for Pu4TeP2. The powder diffractogram is theoretical, not measured: it uses a DFT-relaxed cell (PBE, Alexandria) and Cu Kα (weighted mean of Kα1 and Kα2).
Lines closer than 0.1° are merged.

```
Pu4TeP2
1.0
2.017 -5.656 0.000
2.017 5.656 0.000
0.000 0.000 15.682
Pu Te P
8 2 4
Direct
0.000 0.000 0.000
0.000 0.000 0.500
0.311 0.689 0.603
0.311 0.689 0.897
0.390 0.610 0.250
0.610 0.390 0.750
0.689 0.311 0.103
0.689 0.311 0.397
0.104 0.896 0.250
0.896 0.104 0.750
0.357 0.643 0.073
0.357 0.643 0.427
0.643 0.357 0.573
0.643 0.357 0.927
```

Main lines, by angle (10° ≤ 2θ ≤ 80°):
| two_theta | I_rel |
| --- | --- |
| 23.17 | 31 |
| 26.06 | 22 |
| 27.69 | 60 |
| 29.05 | 100 |
| 32.50 | 68 |
| 33.02 | 42 |
| 33.69 | 28 |
| 41.95 | 26 |
| 44.94 | 29 |
| 51.87 | 31 |

---

(3)
Diffraction record for PuTeP. The powder diffractogram is theoretical, not measured: it uses a DFT-relaxed cell (PBE, Alexandria) and Cu Kα (weighted mean of Kα1 and Kα2).
Lines closer than 0.1° are merged.

```
PuTeP
1.0
2.069 1.195 11.168
-2.069 1.195 11.168
0.000 -2.389 11.168
Pu Te P
2 2 2
Direct
0.055 0.055 0.055
0.945 0.945 0.945
0.444 0.444 0.444
0.556 0.556 0.556
0.330 0.330 0.330
0.670 0.670 0.670
```

Main lines, by angle (10° ≤ 2θ ≤ 80°):
| two_theta | I_rel |
| --- | --- |
| 15.87 | 29 |
| 25.42 | 100 |
| 32.89 | 98 |
| 36.72 | 71 |
| 43.75 | 54 |
| 50.48 | 19 |
| 55.80 | 22 |
| 58.40 | 21 |
| 67.71 | 29 |
| 73.48 | 20 |

---

(4)
Diffraction record for Pu2TeP. The powder diffractogram is theoretical, not measured: it uses a DFT-relaxed cell (PBE, Alexandria) and Cu Kα (weighted mean of Kα1 and Kα2).
Lines closer than 0.1° are merged.

```
Pu2TeP
1.0
4.174 0.000 0.000
0.000 6.010 0.000
0.000 0.000 8.567
Pu Te P
4 2 2
Direct
0.250 0.250 0.102
0.250 0.250 0.658
0.750 0.750 0.342
0.750 0.750 0.898
0.250 0.750 0.620
0.750 0.250 0.380
0.250 0.750 0.122
0.750 0.250 0.878
```

Main lines, by angle (10° ≤ 2θ ≤ 80°):
| two_theta | I_rel |
| --- | --- |
| 25.54 | 33 |
| 25.99 | 38 |
| 29.73 | 56 |
| 29.89 | 100 |
| 42.66 | 77 |
| 43.35 | 20 |
| 52.46 | 16 |
| 53.45 | 23 |
| 70.09 | 18 |
| 79.06 | 15 |

---

(5)
Diffraction record for PuTh3P4. The powder diffractogram is theoretical, not measured: it uses a DFT-relaxed cell (PBE, Alexandria) and Cu Kα (weighted mean of Kα1 and Kα2).
Lines closer than 0.1° are merged.

```
PuTh3P4
1.0
7.122 0.000 0.000
0.000 8.229 0.000
-2.373 0.000 6.732
Pu Th P
2 6 8
Direct
0.000 0.124 0.250
0.000 0.876 0.750
0.000 0.374 0.750
0.000 0.626 0.250
0.500 0.124 0.750
0.500 0.373 0.250
0.500 0.627 0.750
0.500 0.876 0.250
0.244 0.122 0.001
0.244 0.878 0.501
0.248 0.373 0.497
0.248 0.627 0.997
0.752 0.373 0.003
0.752 0.627 0.503
0.756 0.122 0.499
0.756 0.878 0.999
```

Main lines, by angle (10° ≤ 2θ ≤ 80°):
| two_theta | I_rel |
| --- | --- |
| 26.52 | 100 |
| 30.72 | 92 |
| 43.99 | 69 |
| 52.10 | 47 |
| 54.64 | 18 |
| 63.97 | 12 |
| 70.45 | 11 |
| 70.57 | 11 |
| 72.60 | 21 |
| 72.69 | 11 |

---

(6)
Diffraction record for PuTh3P4. The powder diffractogram is theoretical, not measured: it uses a DFT-relaxed cell (PBE, Alexandria) and Cu Kα (weighted mean of Kα1 and Kα2).
Lines closer than 0.1° are merged.

```
PuTh3P4
1.0
4.113 -5.823 0.000
4.113 5.823 0.000
0.000 0.000 4.121
Pu Th P
1 3 4
Direct
0.000 0.000 0.000
0.000 0.500 0.500
0.500 0.000 0.500
0.500 0.500 0.000
0.245 0.245 0.500
0.248 0.752 0.000
0.752 0.248 0.000
0.755 0.755 0.500
```

Main lines, by angle (10° ≤ 2θ ≤ 80°):
| two_theta | I_rel |
| --- | --- |
| 26.52 | 100 |
| 30.71 | 92 |
| 43.99 | 69 |
| 52.10 | 51 |
| 54.60 | 25 |
| 63.96 | 12 |
| 70.46 | 11 |
| 70.54 | 11 |
| 72.60 | 27 |
| 72.68 | 5 |